The following is a computed powder X-ray diffraction pattern of FeH4O2. It was derived from a crystal structure in Alexandria, relaxed with GGA+U, using Cu Kα.
Neutral-atom scattering factors, no anomalous dispersion.

Most intense lines, 15° ≤ 2θ ≤ 90°, in order of rising 2θ:
two_theta  d [Å]  Rel. int.
16.6  5.340  100
28.4  3.147  30
37.2  2.418  87
38.7  2.329  49
42.3  2.135  28
51.0  1.792  33
55.8  1.647  15
58.7  1.574  12
69.0  1.361  21
79.0  1.213  15

Structural model:
Lattice parameters (Å, degrees): 3.2933 3.2933 10.6804 90.00 90.00 90.00
Space group I4/mmm (No. 139)
One atom of each set of equivalent atoms:
Fe: 0.0000 0.0000 0.0000 x2
H: 0.0000 0.0000 0.2879 x4
H: 0.0000 0.5000 0.0000 x4
O: 0.0000 0.0000 0.3803 x4